For AlCr2O4, a cell relaxed with GGA+U gives the theoretical powder X-ray diffraction pattern in this record (Cu Kα, 1.54184 Å).

Atomic structure:
Unit cell a=8.406 b=8.406 c=8.406 alpha=90.00 beta=90.00 gamma=90.00
Space group Fd-3m (No. 227, origin choice 2)
Unique sites:
1 Al 0.125 0.125 0.125
2 Cr 0.000 0.000 0.500
3 O 0.001 0.001 0.749

Principal peaks in the range 2θ from 5° to 70°, low angle first:
2θ/deg	d/Å	intensity	h k l
18.3	4.853	43	1 1 1
30.1	2.972	11	2 2 0
35.4	2.535	100	3 1 1
37.0	2.427	10	2 2 2
43.0	2.102	54	4 0 0
47.1	1.928	9	3 3 1
53.4	1.716	4	4 2 2
56.9	1.618	30	5 1 1
62.5	1.486	56	4 4 0
65.7	1.421	6	5 3 1